(1)
Computed powder diffraction line list
Compound: VWO4
Radiation: Cu Kα, 1.54184 Å
Structure: a cell relaxed with GGA+U
Intensities are scaled so that the largest is 100.

Cell and atoms:
a b c (Å): 4.5826 4.9700 11.8940
angles (deg): 89.77 89.88 89.68
Fractional coordinates of all 24 atoms:
V: 0.0000 0.0000 0.0000
V: 0.9996 0.5001 0.1249
V: 0.4982 0.9986 0.4992
V: 0.4988 0.4978 0.6256
W: 0.0002 0.0009 0.7386
W: 0.4996 0.9997 0.2412
W: 0.5015 0.4996 0.8849
W: 0.9995 0.4991 0.3847
O: 0.2310 0.8176 0.8724
O: 0.2379 0.3186 0.2496
O: 0.2427 0.3377 0.0024
O: 0.2517 0.8413 0.1289
O: 0.2556 0.8345 0.6259
O: 0.2626 0.3321 0.5018
O: 0.2726 0.3143 0.7573
O: 0.2784 0.8321 0.3659
O: 0.7202 0.1662 0.3658
O: 0.7315 0.6767 0.7556
O: 0.7372 0.6643 0.5011
O: 0.7466 0.1555 0.6277
O: 0.7481 0.1595 0.1287
O: 0.7564 0.6647 0.0022
O: 0.7612 0.6816 0.2493
O: 0.7694 0.1838 0.8737

Top 10 peaks for 5° ≤ 2θ ≤ 70°, in order of rising 2θ:
2θ (°)	d_spacing	Rel. int.	h k l
14.90	5.947	34	0 0 2
23.33	3.813	52	0 1 -2
27.45	3.250	100	1 1 1
27.59	3.233	98	-1 1 1
29.80	2.998	89	1 0 -3
35.11	2.556	29	0 1 4
35.24	2.547	29	0 1 -4
36.15	2.485	28	0 2 0
47.55	1.912	27	1 2 -3
53.85	1.702	28	-2 1 4

---

(2)
Computed powder diffraction line list
Compound: VWO4
Radiation: Cu Kα, 1.54184 Å
Structure: a cell relaxed with GGA+U
Intensities are scaled so that the largest is 100.

Cell and atoms:
a b c (Å): 4.5769 4.9997 11.8494
angles (deg): 89.44 89.97 89.69
Fractional coordinates of all 24 atoms:
V: 0.0000 0.0000 0.0000
V: 0.0006 0.5020 0.1258
V: 0.4992 0.5079 0.6255
V: 0.5020 0.0070 0.4993
W: 0.0015 0.0053 0.7418
W: 0.0061 0.5016 0.3849
W: 0.5020 0.5025 0.8860
W: 0.5060 0.0061 0.2402
O: 0.2228 0.1669 0.8665
O: 0.2316 0.6732 0.2586
O: 0.2423 0.6706 0.0016
O: 0.2501 0.1600 0.1305
O: 0.2503 0.1680 0.6288
O: 0.2585 0.6779 0.5020
O: 0.2632 0.6844 0.7503
O: 0.2734 0.1823 0.3735
O: 0.7294 0.8331 0.3711
O: 0.7396 0.3256 0.7501
O: 0.7469 0.3480 0.4997
O: 0.7545 0.8464 0.6289
O: 0.7585 0.8324 0.1264
O: 0.7656 0.3324 0.0021
O: 0.7742 0.3252 0.2564
O: 0.7804 0.8383 0.8661

Top 10 peaks for 5° ≤ 2θ ≤ 70°, in order of rising 2θ:
2θ (°)	d_spacing	Rel. int.	h k l
14.95	5.924	35	0 0 2
23.40	3.802	26	0 1 -2
27.35	3.261	51	1 1 1
27.48	3.246	100	-1 1 1
27.59	3.233	49	1 -1 1
29.88	2.990	88	1 0 3
35.06	2.560	30	0 1 4
35.37	2.538	28	0 1 -4
35.93	2.500	28	0 2 0
53.86	1.702	29	2 1 -4

---

Which formula does entry 2 have?
VWO4